# 1
DyErSb2: simulated powder diffractogram (a wavelength of 1.5418 Å), based on DFT lattice parameters and positions (PBE).

Principal peaks in the range 10° ≤ 2θ ≤ 80°, by angle:
2θ 23.6, I = 26, (1 0 0); 2θ 26.5, I = 42, (0 1 1); 2θ 33.9, I = 100, (0 1 2); 2θ 41.6, I = 46, (1 1 0); 2θ 43.7, I = 11, (1 0 3); 2θ 54.7, I = 26, (2 0 2); 2θ 66.2, I = 23, (1 1 4); 2θ 71.0, I = 23, (1 2 2)

Crystal structure
```
data_DyErSb2
_chemical_formula_sum 'Dy1 Er1 Sb2'
_cell_length_a 4.3451
_cell_length_b 4.3451
_cell_length_c 7.4353
_cell_angle_alpha 90.00
_cell_angle_beta 90.00
_cell_angle_gamma 120.00
_symmetry_space_group_name_H-M 'P -3 m 1'
_symmetry_Int_Tables_number 164
_symmetry_space_group_name_Hall '-P 3 2"'
loop_
_atom_site_label
_atom_site_type_symbol
_atom_site_fract_x
_atom_site_fract_y
_atom_site_fract_z
Dy1 Dy 0.0000 0.0000 0.0000
Er1 Er 0.0000 0.0000 0.5000
Sb1 Sb 0.3333 0.6667 0.7477
```

# 2
DyEr5Sb4: simulated powder diffractogram (a wavelength of 1.5418 Å), based on DFT lattice parameters and positions (PBE).

Principal peaks in the range 10° ≤ 2θ ≤ 80°, by angle:
2θ 25.7, I = 17, (3 1 0); 2θ 29.9, I = 100, (1 1 -2); 2θ 30.2, I = 45, (6 0 0); 2θ 42.2, I = 38, (7 1 -2); 2θ 42.3, I = 20, (0 2 0); 2θ 43.4, I = 18, (2 0 -4); 2θ 43.9, I = 31, (5 1 2); 2θ 52.8, I = 19, (6 2 0)

Crystal structure
```
data_DyEr5Sb4
_chemical_formula_sum 'Dy2 Er10 Sb8'
_cell_length_a 18.4957
_cell_length_b 4.2763
_cell_length_c 8.3431
_cell_angle_alpha 90.00
_cell_angle_beta 106.03
_cell_angle_gamma 90.00
_symmetry_space_group_name_H-M 'C 1 2/m 1'
_symmetry_Int_Tables_number 12
loop_
_symmetry_equiv_pos_as_xyz
'x,y,z'
'-x,-y,-z'
'-x,y,-z'
'x,-y,z'
'x+1/2,y+1/2,z'
'-x+1/2,-y+1/2,-z'
'-x+1/2,y+1/2,-z'
'x+1/2,-y+1/2,z'
loop_
_atom_site_label
_atom_site_type_symbol
_atom_site_fract_x
_atom_site_fract_y
_atom_site_fract_z
Dy1 Dy 0.0000 0.0000 0.0000
Er1 Er 0.0000 0.0000 0.5000
Er2 Er 0.1621 0.5000 0.8186
Er3 Er 0.1799 0.5000 0.3503
Sb1 Sb 0.0094 0.5000 0.2605
Sb2 Sb 0.1701 0.0000 0.0851
```

# 3
DyEr3Sb3: simulated powder diffractogram (a wavelength of 1.5418 Å), based on DFT lattice parameters and positions (PBE).

Principal peaks in the range 10° ≤ 2θ ≤ 80°, by angle:
2θ 31.0, I = 100, (3 1 0); 2θ 36.8, I = 69, (3 1 2); 2θ 48.9, I = 19, (4 2 2); 2θ 51.0, I = 24, (4 3 1); 2θ 62.7, I = 25, (6 1 1); 2θ 64.5, I = 12, (6 2 0); 2θ 66.3, I = 15, (5 1 4); 2θ 76.7, I = 14, (5 5 2)

Crystal structure
```
data_DyEr3Sb3
_chemical_formula_sum 'Dy4 Er12 Sb12'
_cell_length_a 9.1332
_cell_length_b 9.1332
_cell_length_c 9.1332
_cell_angle_alpha 90.00
_cell_angle_beta 90.00
_cell_angle_gamma 90.00
_symmetry_space_group_name_H-M 'P 21 3'
_symmetry_Int_Tables_number 198
_symmetry_space_group_name_Hall 'P 2ac 2ab 3'
loop_
_atom_site_label
_atom_site_type_symbol
_atom_site_fract_x
_atom_site_fract_y
_atom_site_fract_z
Dy1 Dy 0.0719 0.4281 0.5719
Er1 Er 0.0737 0.5737 0.9263
Er2 Er 0.1773 0.8227 0.3227
Er3 Er 0.1779 0.1779 0.1779
Sb1 Sb 0.0006 0.2517 0.8756
```

# 4
DyEr2ScSb4: simulated powder diffractogram (a wavelength of 1.5418 Å), based on DFT lattice parameters and positions (PBE).

Principal peaks in the range 10° ≤ 2θ ≤ 80°, by angle:
2θ 16.2, I = 6, (1 1 1); 2θ 26.3, I = 3, (1 3 1); 2θ 29.2, I = 100, (2 0 2); 2θ 41.8, I = 75, (4 0 0); 2θ 51.9, I = 27, (4 4 0); 2θ 60.6, I = 12, (4 0 4); 2θ 68.7, I = 34, (6 0 2); 2θ 76.4, I = 25, (6 4 2)

Crystal structure
```
data_DyEr2ScSb4
_chemical_formula_sum 'Dy4 Er8 Sc4 Sb16'
_cell_length_a 8.6402
_cell_length_b 12.2049
_cell_length_c 8.6415
_cell_angle_alpha 90.00
_cell_angle_beta 90.00
_cell_angle_gamma 90.00
_symmetry_space_group_name_H-M 'F m m 2'
_symmetry_Int_Tables_number 42
_symmetry_space_group_name_Hall 'F 2 -2'
loop_
_atom_site_label
_atom_site_type_symbol
_atom_site_fract_x
_atom_site_fract_y
_atom_site_fract_z
Dy1 Dy 0.0000 0.0000 0.0000
Er1 Er 0.2500 0.2500 0.2506
Sc1 Sc 0.0000 0.0000 0.5010
Sb1 Sb 0.0000 0.2444 0.5006
Sb2 Sb 0.2496 0.0000 0.2505
```

# 5
Dy4Er8Sc: simulated powder diffractogram (a wavelength of 1.5418 Å), based on DFT lattice parameters and positions (PBE).

Principal peaks in the range 10° ≤ 2θ ≤ 80°, by angle:
2θ 28.1, I = 31, (4 0 -1); 2θ 31.3, I = 100, (4 0 0); 2θ 31.6, I = 42, (0 0 3); 2θ 33.1, I = 69, (2 2 1); 2θ 39.9, I = 15, (2 2 2); 2θ 49.4, I = 33, (0 4 0); 2θ 54.9, I = 13, (2 2 -5); 2θ 59.7, I = 27, (6 2 1)

Crystal structure
```
data_Dy4Er8Sc
_chemical_formula_sum 'Dy8 Er16 Sc2'
_cell_length_a 12.7818
_cell_length_b 7.3922
_cell_length_c 9.5040
_cell_angle_alpha 90.00
_cell_angle_beta 116.50
_cell_angle_gamma 90.00
_symmetry_space_group_name_H-M 'C 1 2/m 1'
_symmetry_Int_Tables_number 12
loop_
_symmetry_equiv_pos_as_xyz
'x,y,z'
'-x,-y,-z'
'-x,y,-z'
'x,-y,z'
'x+1/2,y+1/2,z'
'-x+1/2,-y+1/2,-z'
'-x+1/2,y+1/2,-z'
'x+1/2,-y+1/2,z'
loop_
_atom_site_label
_atom_site_type_symbol
_atom_site_fract_x
_atom_site_fract_y
_atom_site_fract_z
Dy1 Dy 0.0000 0.0000 0.0000
Dy2 Dy 0.0000 0.5000 0.0000
Dy3 Dy 0.2500 0.2500 0.0000
Er1 Er 0.0356 0.2187 0.3255
Er2 Er 0.2214 0.0000 0.6641
Er3 Er 0.2456 0.5000 0.6745
Sc1 Sc 0.0000 0.5000 0.5000
```

# 6
Dy5Er6Sc2: simulated powder diffractogram (a wavelength of 1.5418 Å), based on DFT lattice parameters and positions (PBE).

Principal peaks in the range 10° ≤ 2θ ≤ 80°, by angle:
2θ 28.0, I = 31, (1 6 0); 2θ 29.9, I = 78, (2 0 1); 2θ 31.3, I = 33, (2 2 1); 2θ 32.1, I = 44, (1 4 1); 2θ 32.4, I = 77, (1 7 0); 2θ 32.9, I = 100, (2 3 1); 2θ 34.8, I = 31, (4 3 0); 2θ 41.5, I = 25, (1 7 1)

Crystal structure
```
data_Dy5Er6Sc2
_chemical_formula_sum 'Dy10 Er12 Sc4'
_cell_length_a 11.1702
_cell_length_b 19.9855
_cell_length_c 3.5271
_cell_angle_alpha 90.00
_cell_angle_beta 90.00
_cell_angle_gamma 90.00
_symmetry_space_group_name_H-M 'P b a m'
_symmetry_Int_Tables_number 55
loop_
_symmetry_equiv_pos_as_xyz
'x,y,z'
'-x,-y,-z'
'-x,-y,z'
'x,y,-z'
'x+1/2,-y+1/2,-z'
'-x+1/2,y+1/2,z'
'-x+1/2,y+1/2,-z'
'x+1/2,-y+1/2,z'
loop_
_atom_site_label
_atom_site_type_symbol
_atom_site_fract_x
_atom_site_fract_y
_atom_site_fract_z
Dy1 Dy 0.0000 0.0000 0.0000
Dy2 Dy 0.0624 0.4221 0.0000
Dy3 Dy 0.1443 0.7204 0.0000
Er1 Er 0.0813 0.1547 0.0000
Er2 Er 0.1656 0.8833 0.5000
Er3 Er 0.2187 0.5552 0.5000
Sc1 Sc 0.1151 0.2863 0.5000
```